Cr2Ag2O7: simulated X-ray diffraction stick pattern (λ = 1.5418 Å (Cu Kα)), based on a structure optimized by DFT (GGA+U).

Main lines, sorted by position (10 to 90 degrees two-theta):
2θ 15.6, intensity 20
2θ 18.1, intensity 17
2θ 24.7, intensity 97
2θ 26.4, intensity 100
2θ 26.6, intensity 51
2θ 30.7, intensity 39
2θ 31.2, intensity 37
2θ 38.3, intensity 21
2θ 41.6, intensity 23
2θ 45.6, intensity 19
2θ 50.5, intensity 16
2θ 52.1, intensity 24

Structure:
```
data_Cr2Ag2O7
_chemical_formula_sum 'Cr8 Ag8 O28'
_space_group_name_H-M_alt 'C 1 2/c 1'
_space_group_IT_number 15
_cell_length_a 7.930
_cell_length_b 9.298
_cell_length_c 10.380
_cell_angle_alpha 90.00
_cell_angle_beta 109.19
_cell_angle_gamma 90.00
loop_
_space_group_symop_operation_xyz
'x,y,z'
'-x,-y,-z'
'-x,y,-z+1/2'
'x,-y,z+1/2'
'x+1/2,y+1/2,z'
'-x+1/2,-y+1/2,-z'
'-x+1/2,y+1/2,-z+1/2'
'x+1/2,-y+1/2,z+1/2'
loop_
_atom_site_label
_atom_site_type_symbol
_atom_site_fract_x
_atom_site_fract_y
_atom_site_fract_z
_atom_site_occupancy
Cr1 Cr 0.193 0.012 0.210 1
Ag1 Ag 0.032 0.314 0.986 1
O1 O 0.000 0.060 0.250 1
O2 O 0.134 0.496 0.147 1
O3 O 0.160 0.140 0.626 1
O4 O 0.231 0.142 0.114 1
```